No. 1
The following is a computed powder diffractogram of Gd2C3. It was derived from a crystal structure in OQMD, relaxed with PBE, using Cu Kα (weighted mean of Kα1 and Kα2).

Most intense lines, 10° ≤ 2θ ≤ 80°, sorted by position:
- 2θ = 26.23°, I 48
- 2θ = 30.38°, I 100
- 2θ = 34.07°, I 100
- 2θ = 40.56°, I 51
- 2θ = 56.38°, I 66
- 2θ = 60.98°, I 29

Structural model:
Unit cell a=7.207 b=7.207 c=7.207 alpha=109.47 beta=109.47 gamma=109.47
Positions (direct):
Gd 0.000 0.102 0.500
Gd 0.000 0.602 0.500
Gd 0.102 0.500 0.000
Gd 0.398 0.398 0.398
Gd 0.500 0.000 0.102
Gd 0.500 0.000 0.602
Gd 0.602 0.500 0.000
Gd 0.898 0.898 0.898
C 0.045 0.795 0.250
C 0.205 0.955 0.250
C 0.250 0.045 0.795
C 0.250 0.205 0.955
C 0.295 0.545 0.750
C 0.455 0.705 0.750
C 0.545 0.750 0.295
C 0.705 0.750 0.455
C 0.750 0.295 0.545
C 0.750 0.455 0.705
C 0.795 0.250 0.045
C 0.955 0.250 0.205

=====

No. 2
The following is a computed powder diffractogram of NbH3Se4. It was derived from a crystal structure in OQMD, relaxed with PBE, using Cu Kα (weighted mean of Kα1 and Kα2).

Most intense lines, 10° ≤ 2θ ≤ 80°, sorted by position:
- 2θ = 19.74°, I 46
- 2θ = 28.06°, I 36
- 2θ = 34.54°, I 37
- 2θ = 40.10°, I 100
- 2θ = 53.94°, I 26
- 2θ = 61.90°, I 23

Structural model:
Unit cell a=5.508 b=5.508 c=5.508 alpha=109.47 beta=109.47 gamma=109.47
Positions (direct):
Nb 0.000 0.000 0.000
H 0.000 0.500 0.500
H 0.500 0.000 0.500
H 0.500 0.500 0.000
Se 0.000 0.000 0.446
Se 0.000 0.446 0.000
Se 0.446 0.000 0.000
Se 0.554 0.554 0.554

=====

No. 3
The following is a computed powder diffractogram of HfBe8. It was derived from a crystal structure in OQMD, relaxed with PBE, using Cu Kα (weighted mean of Kα1 and Kα2).

Most intense lines, 10° ≤ 2θ ≤ 80°, sorted by position:
- 2θ = 12.91°, I 100
- 2θ = 22.47°, I 30
- 2θ = 26.00°, I 15
- 2θ = 34.62°, I 21
- 2θ = 42.23°, I 12
- 2θ = 53.94°, I 11

Structural model:
Unit cell a=7.915 b=7.915 c=2.253 alpha=90.00 beta=90.00 gamma=120.00
Positions (direct):
Hf 0.000 0.000 0.000
Be 0.176 0.353 0.500
Be 0.176 0.824 0.500
Be 0.333 0.667 0.500
Be 0.353 0.176 0.500
Be 0.647 0.824 0.500
Be 0.667 0.333 0.500
Be 0.824 0.176 0.500
Be 0.824 0.647 0.500